Gd4B4O11F2: simulated powder XRD pattern (λ = 1.5418 Å (Cu Kα)), based on a cell relaxed with GGA-PBE.

Crystal structure
a = 13.716 Å, b = 4.674 Å, c = 13.829 Å
α = 90.00°, β = 91.23°, γ = 90.00°
Space group C2/c (No. 15)
Asymmetric unit:
Gd1 0.059 0.019 0.370 (multiplicity 8)
Gd2 0.220 0.018 0.130 (multiplicity 8)
B1 0.093 0.477 0.214 (multiplicity 8)
B2 0.095 0.456 0.524 (multiplicity 8)
O1 0.000 0.347 0.250 (multiplicity 4)
O2 0.079 0.167 0.534 (multiplicity 8)
O3 0.087 0.367 0.105 (multiplicity 8)
O4 0.098 0.220 0.724 (multiplicity 8)
O5 0.115 0.438 0.934 (multiplicity 8)
O6 0.174 0.317 0.257 (multiplicity 8)
F1 0.231 0.025 0.424 (multiplicity 8)

Top 6 peaks for 5° ≤ 2θ ≤ 70°, sorted by position:
d/Å  I_rel  h k l
4.424  80  1 1 0
3.456  82  0 0 4
3.098  48  4 0 -2
2.972  98  3 1 -2
2.937  100  3 1 2
1.936  52  0 2 4

=====

TiNbRe2: simulated powder XRD pattern (λ = 1.5418 Å (Cu Kα)), based on a cell relaxed with GGA-PBE.

Crystal structure
a = 6.340 Å, b = 6.340 Å, c = 6.340 Å
α = 90.00°, β = 90.00°, γ = 90.00°
Space group Fm-3m (No. 225)
Asymmetric unit:
Ti1 0.000 0.000 0.000 (multiplicity 4)
Nb1 0.000 0.000 0.500 (multiplicity 4)
Re1 0.250 0.250 0.250 (multiplicity 8)

Top 6 peaks for 5° ≤ 2θ ≤ 70°, sorted by position:
d/Å  I_rel  h k l
3.661  2  1 1 1
3.170  24  2 0 0
2.242  100  2 2 0
1.830  7  2 2 2
1.585  17  4 0 0
1.418  10  4 2 0

=====

BaB2O4: simulated powder XRD pattern (λ = 1.5418 Å (Cu Kα)), based on a cell relaxed with GGA-PBE.

Crystal structure
a = 7.3260 Å, b = 7.3260 Å, c = 40.1533 Å
α = 90.00°, β = 90.00°, γ = 120.00°
Space group R-3c (No. 167, hexagonal axes)
Asymmetric unit:
Ba1 0.0000 0.0000 0.1510 (multiplicity 12)
Ba2 0.0000 0.0000 0.2500 (multiplicity 6)
B1 0.0334 0.2102 0.4615 (multiplicity 36)
O1 0.0096 0.2724 0.7971 (multiplicity 36)
O2 0.0323 0.2041 0.5396 (multiplicity 36)

Top 6 peaks for 5° ≤ 2θ ≤ 70°, sorted by position:
d/Å  I_rel  h k l
6.050  47  0 1 2
3.663  77  1 1 0
3.393  100  1 0 10
2.489  36  0 2 10
2.471  31  1 1 12
2.059  36  2 1 10

=====

K2RbPrF6: simulated powder XRD pattern (λ = 1.5418 Å (Cu Kα)), based on a cell relaxed with GGA-PBE.

Crystal structure
a = 9.913 Å, b = 9.913 Å, c = 9.913 Å
α = 90.00°, β = 90.00°, γ = 90.00°
Space group Fm-3m (No. 225)
Asymmetric unit:
K1 0.250 0.250 0.250 (multiplicity 8)
Rb1 0.000 0.000 0.000 (multiplicity 4)
Pr1 0.000 0.000 0.500 (multiplicity 4)
F1 0.000 0.000 0.268 (multiplicity 24)

Top 6 peaks for 5° ≤ 2θ ≤ 70°, sorted by position:
d/Å  I_rel  h k l
4.957  54  2 0 0
3.505  100  2 2 0
2.478  47  4 0 0
2.217  26  4 2 0
2.024  41  4 2 2
1.752  30  4 4 0

=====

LiZrAu2: simulated powder XRD pattern (λ = 1.5418 Å (Cu Kα)), based on a cell relaxed with GGA-PBE.

Crystal structure
a = 6.642 Å, b = 6.642 Å, c = 6.642 Å
α = 90.00°, β = 90.00°, γ = 90.00°
Space group Fm-3m (No. 225)
Asymmetric unit:
Li1 0.000 0.000 0.000 (multiplicity 4)
Zr1 0.000 0.000 0.500 (multiplicity 4)
Au1 0.250 0.250 0.250 (multiplicity 8)

Top 6 peaks for 5° ≤ 2θ ≤ 70°, sorted by position:
d/Å  I_rel  h k l
3.321  45  2 0 0
2.348  100  2 2 0
1.917  14  2 2 2
1.661  17  4 0 0
1.485  18  4 2 0
1.356  35  4 2 2